For Cs5Pb2O6, a PBE-relaxed structure gives the simulated powder X-ray diffraction pattern in this record (Cu Kα (weighted mean of Kα1 and Kα2)).
No peak broadening, texture or thermal motion is included.

a = 7.283 Å, b = 7.283 Å, c = 16.136 Å
α = 96.54°, β = 96.54°, γ = 66.84°
Fractional coordinates of all 26 atoms:
Cs1 0.090 0.910 0.750
Cs2 0.186 0.725 0.013
Cs3 0.275 0.814 0.487
Cs4 0.298 0.399 0.294
Cs5 0.399 0.298 0.794
Cs6 0.601 0.702 0.206
Cs7 0.702 0.601 0.706
Cs8 0.725 0.186 0.513
Cs9 0.814 0.275 0.987
Cs10 0.910 0.090 0.250
Pb1 0.151 0.400 0.579
Pb2 0.400 0.151 0.079
Pb3 0.600 0.849 0.921
Pb4 0.849 0.600 0.421
O1 0.067 0.229 0.653
O2 0.110 0.310 0.444
O3 0.229 0.067 0.153
O4 0.310 0.110 0.944
O5 0.399 0.479 0.621
O6 0.479 0.399 0.121
O7 0.521 0.601 0.879
O8 0.601 0.521 0.379
O9 0.690 0.890 0.056
O10 0.771 0.933 0.847
O11 0.890 0.690 0.556
O12 0.933 0.771 0.347

Peak list (8 most intense, 2θ = 5–70°, by angle)
- 2θ 13.98, I = 43
- 2θ 24.80, I = 100
- 2θ 25.09, I = 47
- 2θ 26.09, I = 40
- 2θ 27.84, I = 56
- 2θ 28.23, I = 42
- 2θ 28.44, I = 48
- 2θ 45.07, I = 31